1.
# NdYGaAu
Theoretical X-ray powder pattern, Cu Ka. Input: DFT lattice parameters and positions (PBE).
Intensities are scaled so that the largest is 100.

Structural model:
abc: 4.556 3.900 11.385
angles: 90.00 90.00 90.00
Sites, in units of the cell vectors:
Nd: 0.000 0.000 0.000
Nd: 0.000 0.500 0.500
Y: 0.500 0.000 0.716
Y: 0.500 0.500 0.216
Ga: 0.500 0.000 0.432
Ga: 0.500 0.500 0.932
Au: 0.000 0.000 0.275
Au: 0.000 0.500 0.775

Main lines, by angle (2θ = 10–80°):
| 2θ/deg | I/Imax |
| --- | --- |
| 19.48 | 23 |
| 24.12 | 17 |
| 31.19 | 100 |
| 31.43 | 30 |
| 32.93 | 30 |
| 37.25 | 39 |
| 38.55 | 77 |
| 39.56 | 32 |
| 46.58 | 20 |
| 61.09 | 20 |
| 62.72 | 17 |
| 75.91 | 18 |



2.
# Li6CaHg6
Theoretical X-ray powder pattern, Cu Ka. Input: DFT lattice parameters and positions (PBE).
Intensities are scaled so that the largest is 100.

Structural model:
abc: 7.409 7.409 7.409
angles: 135.87 100.64 95.60
Sites, in units of the cell vectors:
Li: 0.000 0.000 0.500
Li: 0.000 0.500 0.000
Li: 0.242 0.000 0.242
Li: 0.500 0.000 0.000
Li: 0.500 0.500 0.500
Li: 0.758 0.000 0.758
Ca: 0.000 0.500 0.500
Hg: 0.176 0.176 0.000
Hg: 0.334 0.500 0.834
Hg: 0.340 0.840 0.500
Hg: 0.660 0.160 0.500
Hg: 0.666 0.500 0.166
Hg: 0.824 0.824 0.000

Main lines, by angle (2θ = 10–80°):
| 2θ/deg | I/Imax |
| --- | --- |
| 12.91 | 19 |
| 18.76 | 43 |
| 25.99 | 33 |
| 26.30 | 59 |
| 31.39 | 100 |
| 32.16 | 48 |
| 36.82 | 37 |
| 37.46 | 40 |
| 41.80 | 22 |
| 42.51 | 19 |
| 56.86 | 19 |
| 67.94 | 23 |



3.
# Pa3Si3Tc2Rh
Theoretical X-ray powder pattern, Cu Ka. Input: DFT lattice parameters and positions (PBE).
Intensities are scaled so that the largest is 100.

Structural model:
abc: 6.984 6.984 3.918
angles: 90.00 90.00 120.00
Sites, in units of the cell vectors:
Pa: 0.000 0.581 0.000
Pa: 0.419 0.419 0.000
Pa: 0.581 0.000 0.000
Si: 0.000 0.244 0.500
Si: 0.244 0.000 0.500
Si: 0.756 0.756 0.500
Tc: 0.333 0.667 0.500
Tc: 0.667 0.333 0.500
Rh: 0.000 0.000 0.000

Main lines, by angle (2θ = 10–80°):
| 2θ/deg | I/Imax |
| --- | --- |
| 22.70 | 29 |
| 25.51 | 35 |
| 29.54 | 37 |
| 34.40 | 88 |
| 37.57 | 100 |
| 39.41 | 27 |
| 45.96 | 20 |
| 46.35 | 22 |
| 54.72 | 26 |
| 59.99 | 34 |
| 72.23 | 19 |
| 74.46 | 21 |



4.
# Al6PdAu2
Theoretical X-ray powder pattern, Cu Ka. Input: DFT lattice parameters and positions (PBE).
Intensities are scaled so that the largest is 100.

Structural model:
abc: 7.352 7.352 4.259
angles: 106.50 106.50 48.57
Sites, in units of the cell vectors:
Al: 0.082 0.591 0.337
Al: 0.240 0.760 0.000
Al: 0.409 0.918 0.663
Al: 0.591 0.082 0.337
Al: 0.760 0.240 0.000
Al: 0.918 0.409 0.663
Pd: 0.000 0.000 0.500
Au: 0.334 0.334 0.834
Au: 0.666 0.666 0.166

Main lines, by angle (2θ = 10–80°):
| 2θ/deg | I/Imax |
| --- | --- |
| 25.61 | 100 |
| 29.58 | 16 |
| 29.81 | 8 |
| 42.32 | 23 |
| 42.46 | 34 |
| 42.60 | 11 |
| 50.09 | 25 |
| 50.22 | 8 |
| 50.42 | 16 |
| 67.83 | 10 |
| 77.44 | 8 |
| 77.73 | 8 |



5.
# Nb2V2Ru
Theoretical X-ray powder pattern, Cu Ka. Input: DFT lattice parameters and positions (PBE).
Intensities are scaled so that the largest is 100.

Structural model:
abc: 8.561 8.076 4.842
angles: 78.66 67.66 33.68
Sites, in units of the cell vectors:
Nb: 0.180 0.180 0.820
Nb: 0.234 0.766 0.766
Nb: 0.766 0.234 0.234
Nb: 0.820 0.820 0.180
V: 0.222 0.552 0.448
V: 0.448 0.778 0.222
V: 0.552 0.222 0.778
V: 0.778 0.448 0.552
Ru: 0.250 0.250 0.250
Ru: 0.750 0.750 0.750

Main lines, by angle (2θ = 10–80°):
| 2θ/deg | I/Imax |
| --- | --- |
| 11.67 | 23 |
| 25.32 | 46 |
| 26.36 | 15 |
| 35.57 | 40 |
| 38.14 | 29 |
| 40.29 | 74 |
| 41.47 | 100 |
| 41.83 | 26 |
| 42.38 | 61 |
| 45.71 | 16 |
| 52.00 | 19 |
| 77.69 | 23 |



6.
# Nd2Sm2Tl7
Theoretical X-ray powder pattern, Cu Ka. Input: DFT lattice parameters and positions (PBE).
Intensities are scaled so that the largest is 100.

Structural model:
abc: 7.034 7.034 7.740
angles: 90.00 90.00 103.35
Sites, in units of the cell vectors:
Nd: 0.199 0.801 0.000
Nd: 0.801 0.199 0.000
Sm: 0.312 0.312 0.500
Sm: 0.688 0.688 0.500
Tl: 0.000 0.000 0.298
Tl: 0.000 0.000 0.702
Tl: 0.000 0.500 0.296
Tl: 0.000 0.500 0.704
Tl: 0.500 0.000 0.296
Tl: 0.500 0.000 0.704
Tl: 0.500 0.500 0.000

Main lines, by angle (2θ = 10–80°):
| 2θ/deg | I/Imax |
| --- | --- |
| 23.41 | 59 |
| 26.04 | 62 |
| 26.46 | 40 |
| 28.75 | 21 |
| 32.45 | 62 |
| 35.00 | 100 |
| 35.19 | 50 |
| 41.26 | 29 |
| 41.40 | 29 |
| 43.95 | 42 |
| 53.57 | 25 |
| 65.94 | 22 |



7.
# Pr2DyScSe6
Theoretical X-ray powder pattern, Cu Ka. Input: DFT lattice parameters and positions (PBE).
Intensities are scaled so that the largest is 100.

Structural model:
abc: 6.895 7.637 12.282
angles: 90.00 123.23 90.00
Sites, in units of the cell vectors:
Pr: 0.204 0.105 0.247
Pr: 0.204 0.395 0.747
Pr: 0.796 0.605 0.253
Pr: 0.796 0.895 0.753
Dy: 0.500 0.000 0.000
Dy: 0.500 0.500 0.500
Sc: 0.000 0.000 0.500
Sc: 0.000 0.500 0.000
Se: 0.098 0.189 0.932
Se: 0.098 0.311 0.432
Se: 0.252 0.679 0.932
Se: 0.252 0.821 0.432
Se: 0.384 0.043 0.742
Se: 0.384 0.457 0.242
Se: 0.616 0.543 0.758
Se: 0.616 0.957 0.258
Se: 0.748 0.179 0.568
Se: 0.748 0.321 0.068
Se: 0.902 0.689 0.568
Se: 0.902 0.811 0.068

Main lines, by angle (2θ = 10–80°):
| 2θ/deg | I/Imax |
| --- | --- |
| 24.40 | 65 |
| 24.70 | 69 |
| 28.02 | 49 |
| 29.31 | 55 |
| 29.61 | 100 |
| 31.25 | 48 |
| 31.61 | 44 |
| 34.93 | 59 |
| 35.20 | 57 |
| 37.67 | 73 |
| 44.53 | 54 |
| 45.07 | 59 |